Structure and simulated powder XRD pattern of Ac2Rh3Pb2 (a PBE-relaxed structure; Cu Kα X-rays).

Structure:
a b c (Å): 9.0023 9.0023 9.0023
angles (deg): 90.00 90.00 90.00
Space group I2_13 (No. 199)
Symmetry-distinct sites (fractional):
Ac  0.2402  0.2402  0.2402
Rh  0.0000  0.2500  0.0211
Pb  0.0453  0.4547  0.5453

Peak list (10 most intense, 2θ from 15° to 90°, in order of falling intensity)
d_spacing	two_theta	I (rel.)	hkl
3.183	28.0	1000	2 2 0
2.251	40.1	418	4 0 0
2.406	37.4	414	3 1 2
2.847	31.4	299	3 1 0
2.599	34.5	253	2 2 2
1.838	49.6	247	4 2 2
1.357	69.2	221	6 2 2
1.591	57.9	211	4 4 0
1.919	47.4	204	3 3 2
1.766	51.8	157	4 3 1


Structure and simulated powder XRD pattern of Sm2Dy8In (a PBE-relaxed structure; Cu Kα X-rays).

Structure:
a b c (Å): 5.4260 7.5885 17.1554
angles (deg): 90.00 90.00 90.00
Space group Immm (No. 71)
Symmetry-distinct sites (fractional):
Sm  0.0000  0.0000  0.1935
Dy  0.0000  0.2409  0.0000
Dy  0.0000  0.2698  0.3630
Dy  0.0000  0.5000  0.1790
In  0.0000  0.0000  0.5000

Peak list (10 most intense, 2θ from 15° to 90°, in order of falling intensity)
d_spacing	two_theta	I (rel.)	hkl
2.732	32.8	1000	1 2 3
2.713	33.0	300	2 0 0
2.900	30.8	251	1 0 5
1.570	58.8	188	3 2 3
2.859	31.3	162	0 0 6
1.538	60.2	125	2 2 8
1.867	48.8	117	0 2 8
3.470	25.7	114	0 2 2
1.968	46.1	111	2 0 6
1.555	59.5	100	2 4 0


Structure and simulated powder XRD pattern of HoPu2Zn2Ge2 (a PBE-relaxed structure; Cu Kα X-rays).

Structure:
a b c (Å): 4.0709 4.0709 26.9904
angles (deg): 90.00 90.00 120.00
Space group R-3m (No. 166, hexagonal axes)
Symmetry-distinct sites (fractional):
Ho  0.0000  0.0000  0.0000
Pu  0.0000  0.0000  0.1520
Zn  0.0000  0.0000  0.4138
Ge  0.0000  0.0000  0.2644

Peak list (10 most intense, 2θ from 15° to 90°, in order of falling intensity)
d_spacing	two_theta	I (rel.)	hkl
2.602	34.5	1000	1 0 7
2.035	44.5	665	1 1 0
3.496	25.5	295	1 0 1
1.260	75.5	263	2 1 7
1.603	57.5	233	0 2 7
1.509	61.4	200	1 1 12
4.498	19.7	166	0 0 6
2.952	30.3	145	0 1 5
2.438	36.9	137	0 1 8
2.249	40.1	118	0 0 12


Structure and simulated powder XRD pattern of Sm11Y5O24 (a PBE-relaxed structure; Cu Kα X-rays).

Structure:
a b c (Å): 9.4377 9.4392 9.4515
angles (deg): 109.48 109.48 109.39
Space group P1 (No. 1)
Symmetry-distinct sites (fractional):
Sm  0.0000  0.0000  0.0000
Sm  0.0028  0.5003  0.4998
Sm  0.0325  0.8121  0.2820
Sm  0.2516  0.2816  0.5303
Sm  0.2573  0.7842  0.0360
Sm  0.2838  0.0314  0.8120
Sm  0.5327  0.3133  0.2811
Sm  0.7186  0.5306  0.7508
Sm  0.7451  0.7819  0.5294
Sm  0.7520  0.2787  0.0306
Sm  0.9712  0.2517  0.7811
Y  0.2220  0.5332  0.2507
Y  0.4695  0.7491  0.7818
Y  0.5015  0.0618  0.5631
Y  0.5019  0.5649  0.0635
Y  0.7817  0.0303  0.3119
O  0.0059  0.0515  0.2607
O  0.0188  0.0203  0.7569
O  0.0208  0.2905  0.5689
O  0.2154  0.7512  0.7636
O  0.2262  0.5131  0.9928
O  0.2437  0.0417  0.5606
O  0.2692  0.5267  0.5015
O  0.2804  0.0518  0.0719
O  0.2976  0.8109  0.3070
O  0.4771  0.5404  0.2978
O  0.4807  0.2657  0.4899
O  0.4892  0.5125  0.8041
O  0.5124  0.3153  0.0188
O  0.5225  0.0060  0.7866
O  0.5275  0.8241  0.0618
O  0.7060  0.0124  0.5145
O  0.7176  0.7930  0.7727
O  0.7384  0.2355  0.2592
O  0.7590  0.3178  0.7999
O  0.7773  0.7690  0.2888
O  0.7926  0.5546  0.5436
O  0.9824  0.5497  0.2706
O  0.9832  0.7389  0.0026
O  0.9990  0.2574  0.0475

Peak list (10 most intense, 2θ from 15° to 90°, in order of falling intensity)
d_spacing	two_theta	I (rel.)	hkl
3.148	28.3	1000	1 1 -3
1.928	47.1	344	0 0 4
1.644	55.9	329	1 -3 5
2.727	32.8	323	2 -2 2
4.452	19.9	113	0 1 1
2.139	42.3	79	3 1 0
1.926	47.2	69	4 -4 0
1.574	58.6	66	2 2 -6
1.251	76.1	64	1 1 -7
1.220	78.4	58	-2 2 6


Structure and simulated powder XRD pattern of Al2CuHg (a PBE-relaxed structure; Cu Kα X-rays).

Structure:
a b c (Å): 4.1666 4.1666 14.7774
angles (deg): 90.00 90.00 120.00
Space group R3m (No. 160, hexagonal axes)
Symmetry-distinct sites (fractional):
Al  0.0000  0.0000  0.0000
Al  0.0000  0.0000  0.2266
Cu  0.0000  0.0000  0.6204
Hg  0.0000  0.0000  0.4389

Peak list (10 most intense, 2θ from 15° to 90°, in order of falling intensity)
d_spacing	two_theta	I (rel.)	hkl
3.505	25.4	1000	1 0 1
2.286	39.4	653	0 1 5
2.083	43.4	570	1 1 0
3.242	27.5	477	0 1 2
2.581	34.8	436	1 0 4
1.591	58.0	265	1 1 6
1.540	60.1	188	2 0 5
1.238	77.0	182	1 2 5
4.926	18.0	176	0 0 3
2.463	36.5	169	0 0 6


Structure and simulated powder XRD pattern of Sr3Zn8Cu3 (a PBE-relaxed structure; Cu Kα X-rays).

Structure:
a b c (Å): 4.4352 9.9698 12.7273
angles (deg): 90.00 90.00 90.00
Space group Immm (No. 71)
Symmetry-distinct sites (fractional):
Sr  0.0000  0.0000  0.0000
Sr  0.0000  0.0000  0.3150
Zn  0.0000  0.2872  0.1109
Zn  0.0000  0.3376  0.3214
Cu  0.0000  0.2260  0.5000
Cu  0.0000  0.5000  0.0000

Peak list (10 most intense, 2θ from 15° to 90°, in order of falling intensity)
d_spacing	two_theta	I (rel.)	hkl
2.613	34.3	1000	1 2 3
2.660	33.7	637	1 3 0
2.218	40.7	561	2 0 0
2.019	44.9	518	0 3 5
2.208	40.9	405	1 0 5
3.066	29.1	265	1 0 3
2.454	36.6	263	1 3 2
1.461	63.7	259	1 6 3
1.692	54.2	162	2 3 3
2.492	36.0	146	0 4 0


Structure and simulated powder XRD pattern of Mg4MoOs (a PBE-relaxed structure; Cu Kα X-rays).

Structure:
a b c (Å): 7.4159 7.4159 7.4159
angles (deg): 90.00 90.00 90.00
Space group F-43m (No. 216)
Symmetry-distinct sites (fractional):
Mg  0.1248  0.1248  0.1248
Mo  0.2500  0.2500  0.7500
Os  0.0000  0.0000  0.5000

Peak list (10 most intense, 2θ from 15° to 90°, in order of falling intensity)
d_spacing	two_theta	I (rel.)	hkl
2.236	40.3	1000	3 1 1
2.622	34.2	941	2 2 0
4.282	20.7	695	1 1 1
1.514	61.2	349	4 2 2
1.427	65.4	317	5 1 1
1.311	72.0	195	4 4 0
1.701	53.9	171	3 3 1
1.173	82.2	154	6 2 0
1.254	75.9	128	5 3 1
1.131	85.9	114	5 3 3


Structure and simulated powder XRD pattern of LiTlRuF6 (a PBE-relaxed structure; Cu Kα X-rays).

Structure:
a b c (Å): 5.3860 5.3860 6.0698
angles (deg): 90.00 90.00 120.00
Space group P312 (No. 149)
Symmetry-distinct sites (fractional):
Li  0.0000  0.0000  0.0000
Tl  0.6667  0.3333  0.5000
Ru  0.3333  0.6667  0.0000
F  0.0465  0.3515  0.1801

Peak list (10 most intense, 2θ from 15° to 90°, in order of falling intensity)
d_spacing	two_theta	I (rel.)	hkl
3.699	24.1	1000	1 0 1
2.014	45.0	304	2 -1 2
4.664	19.0	287	1 0 0
1.693	54.2	210	3 -1 1
2.177	41.5	203	2 0 1
2.693	33.3	183	1 1 0
2.544	35.3	150	1 0 2
1.856	49.1	125	1 0 3
1.329	70.9	96	2 1 3
2.462	36.5	93	1 1 1


Structure and simulated powder XRD pattern of Tl3SbS4 (a PBE-relaxed structure; Cu Kα X-rays).

Structure:
a b c (Å): 9.2503 9.3451 6.3779
angles (deg): 90.00 90.00 90.00
Space group Pmn2_1 (No. 31)
Symmetry-distinct sites (fractional):
Tl  0.0000  0.1027  0.0000
Tl  0.2002  0.3296  0.4991
Sb  0.0000  0.7880  0.5809
S  0.0000  0.0325  0.4904
S  0.0000  0.7739  0.9563
S  0.2169  0.6722  0.4790

Peak list (10 most intense, 2θ from 15° to 90°, in order of falling intensity)
d_spacing	two_theta	I (rel.)	hkl
3.476	25.6	1000	2 1 1
3.769	23.6	860	0 2 1
4.145	21.4	762	2 1 0
3.189	28.0	731	0 0 2
2.528	35.5	404	2 1 2
2.584	34.7	359	2 3 0
2.776	32.2	339	3 0 1
4.578	19.4	322	1 1 1
2.007	45.2	294	2 3 2
4.673	19.0	286	0 2 0


Structure and simulated powder XRD pattern of CaTl5Pb6 (a PBE-relaxed structure; Cu Kα X-rays).

Structure:
a b c (Å): 11.4786 10.5000 6.2099
angles (deg): 90.00 98.84 90.00
Space group C2/m (No. 12)
Symmetry-distinct sites (fractional):
Ca  0.0000  0.0000  0.0000
Tl  0.0000  0.1638  0.5000
Tl  0.0000  0.3324  0.0000
Tl  0.0000  0.5000  0.5000
Pb  0.2464  0.5000  0.2424
Pb  0.2483  0.3320  0.7451

Peak list (10 most intense, 2θ from 15° to 90°, in order of falling intensity)
d_spacing	two_theta	I (rel.)	hkl
2.885	31.0	1000	1 3 1
2.463	36.5	436	3 3 -1
2.836	31.6	318	4 0 0
2.540	35.3	236	2 0 2
1.781	51.3	168	1 3 -3
1.755	52.1	159	5 3 1
1.524	60.8	102	3 3 3
1.497	62.0	96	2 6 -2
1.493	62.2	95	5 3 -3
1.489	62.4	95	4 6 0


Structure and simulated powder XRD pattern of Li2DySn3 (a PBE-relaxed structure; Cu Kα X-rays).

Structure:
a b c (Å): 4.5240 13.6055 4.4388
angles (deg): 90.00 90.00 90.00
Space group Cmmm (No. 65)
Symmetry-distinct sites (fractional):
Li  0.0000  0.1828  0.0000
Dy  0.0000  0.5000  0.0000
Sn  0.0000  0.0000  0.5000
Sn  0.0000  0.3298  0.5000

Peak list (10 most intense, 2θ from 15° to 90°, in order of falling intensity)
d_spacing	two_theta	I (rel.)	hkl
2.597	34.5	1000	1 3 1
2.262	39.9	170	2 0 0
2.268	39.8	169	0 6 0
2.219	40.7	161	0 0 2
1.362	69.0	146	3 3 1
4.293	20.7	144	1 1 0
3.086	28.9	143	1 1 1
1.364	68.8	137	1 9 1
1.343	70.1	134	1 3 3
1.586	58.2	127	0 6 2


Structure and simulated powder XRD pattern of Be7Au6 (a PBE-relaxed structure; Cu Kα X-rays).

Structure:
a b c (Å): 4.7743 4.7743 25.2403
angles (deg): 90.00 90.00 120.00
Space group R-3m (No. 166, hexagonal axes)
Symmetry-distinct sites (fractional):
Be  0.0000  0.0000  0.0000
Be  0.0126  0.5063  0.5893
Au  0.0000  0.0000  0.1736
Au  0.0000  0.0000  0.3326
Au  0.0000  0.0000  0.4438

Peak list (10 most intense, 2θ from 15° to 90°, in order of falling intensity)
d_spacing	two_theta	I (rel.)	hkl
2.387	37.7	1000	1 1 0
2.508	35.8	641	0 1 8
4.080	21.8	372	1 0 1
2.076	43.6	332	1 1 6
4.207	21.1	289	0 0 6
1.729	53.0	217	2 0 8
1.400	66.8	211	1 2 8
1.209	79.2	204	1 1 18
2.154	41.9	182	1 0 10
1.378	68.0	182	3 0 0


Structure and simulated powder XRD pattern of LaZnRh3 (a PBE-relaxed structure; Cu Kα X-rays).

Structure:
a b c (Å): 4.6327 4.6327 4.6327
angles (deg): 90.00 90.00 90.00
Space group Pm-3m (No. 221)
Symmetry-distinct sites (fractional):
La  0.0000  0.0000  0.0000
Zn  0.5000  0.5000  0.5000
Rh  0.0000  0.5000  0.5000

Peak list (10 most intense, 2θ from 15° to 90°, in order of falling intensity)
d_spacing	two_theta	I (rel.)	hkl
2.675	33.5	1000	1 1 1
2.316	38.9	939	2 0 0
1.638	56.2	631	2 2 0
1.397	67.0	394	3 1 1
1.337	70.4	210	2 2 2
3.276	27.2	184	1 1 0
1.158	83.5	99	4 0 0
1.891	48.1	78	2 1 1
1.238	77.0	37	3 2 1
4.633	19.2	37	1 0 0